Starting from a cell relaxed with GGA-PBE, the powder XRD pattern of Sm7Al2Co2 was simulated for CuKα.
Kinematic intensities with the Lorentz-polarization factor, no thermal factor.

Most intense lines, 5 to 70 degrees two-theta, sorted by position:
2θ/deg	I (rel.)
25.60	24
27.82	100
29.20	41
32.23	54
34.44	21
37.26	36
38.16	79
46.23	19
54.81	20
60.55	23

```
11
Lattice="3.9274 -5.5557 0.0000 3.9274 5.5557 0.0000 0.0000 0.0000 6.9585" Properties=species:S:1:pos:R:3 pbc="T T T"
Sm 0.0000 0.0000 0.0000
Sm 1.9637 2.7778 1.7526
Sm 1.9637 2.7778 5.2059
Sm 1.9637 -2.7778 1.7526
Sm 1.9637 -2.7778 5.2059
Sm 3.9274 0.0000 1.7118
Sm 3.9274 0.0000 5.2466
Al 1.2910 0.0000 3.4792
Al 6.5638 0.0000 3.4792
Co 3.9274 2.2661 0.0000
Co 3.9274 -2.2661 0.0000
```